Record 1
Diffraction record for SrHfTl2O6. The X-ray powder pattern is theoretical, not measured: it uses the PBE geometry in Alexandria and CuKα.
Intensities are scaled so that the largest is 100.

Atomic structure:
```
data_SrHfTl2O6
_symmetry_space_group_name_H-M 'R 3'
_symmetry_Int_Tables_number 146
_symmetry_space_group_name_Hall 'R 3'
_cell_length_a 5.8354
_cell_length_b 5.8354
_cell_length_c 15.4328
_cell_angle_alpha 90.00
_cell_angle_beta 90.00
_cell_angle_gamma 120.00
loop_
_atom_site_label
_atom_site_type_symbol
_atom_site_fract_x
_atom_site_fract_y
_atom_site_fract_z
_atom_site_occupancy
Sr1 Sr 0.0000 0.0000 0.0000 1
Hf1 Hf 0.0000 0.0000 0.4889 1
Tl1 Tl 0.0000 0.0000 0.2744 1
Tl2 Tl 0.0000 0.0000 0.7779 1
O1 O 0.0039 0.3592 0.2166 1
O2 O 0.0247 0.7437 0.3943 1
```

Principal peaks in the range 15° ≤ 2θ ≤ 90°, sorted by position:
- (0 1 2), 2θ = 21.01°, I 25
- (1 0 4), 2θ = 29.12°, I 100
- (1 1 0), 2θ = 30.64°, I 95
- (0 2 4), 2θ = 42.78°, I 39
- (2 -1 6), 2θ = 47.10°, I 30
- (0 1 8), 2θ = 50.65°, I 13
- (3 -1 4), 2θ = 53.53°, I 41
- (3 0 0), 2θ = 54.47°, I 26
- (2 2 0), 2θ = 63.80°, I 13
- (1 3 4), 2θ = 71.64°, I 23
- (3 2 4), 2θ = 87.94°, I 11
- (4 1 0), 2θ = 88.70°, I 11

Record 2
Diffraction record for Tb4Hf6O19. The X-ray powder pattern is theoretical, not measured: it uses the PBE geometry in Alexandria and CuKα.
Intensities are scaled so that the largest is 100.

Atomic structure:
```
data_Tb4Hf6O19
_symmetry_space_group_name_H-M 'I 2 3'
_symmetry_Int_Tables_number 197
_symmetry_space_group_name_Hall 'I 2 2 3'
_cell_length_a 9.356
_cell_length_b 9.356
_cell_length_c 9.356
_cell_angle_alpha 90.00
_cell_angle_beta 90.00
_cell_angle_gamma 90.00
loop_
_atom_site_label
_atom_site_type_symbol
_atom_site_fract_x
_atom_site_fract_y
_atom_site_fract_z
_atom_site_occupancy
Tb1 Tb 0.146 0.146 0.146 1
Hf1 Hf 0.000 0.170 0.500 1
O1 O 0.000 0.000 0.000 1
O2 O 0.000 0.000 0.355 1
O3 O 0.047 0.284 0.314 1
```

Principal peaks in the range 15° ≤ 2θ ≤ 90°, sorted by position:
- (2 0 0), 2θ = 18.97°, I 16
- (2 1 1), 2θ = 23.29°, I 50
- (3 0 1), 2θ = 30.21°, I 100
- (2 2 2), 2θ = 33.17°, I 23
- (3 1 2), 2θ = 35.91°, I 64
- (4 2 2), 2θ = 47.61°, I 19
- (4 3 1), 2θ = 49.69°, I 45
- (5 2 1), 2θ = 53.65°, I 19
- (6 0 0), 2θ = 59.26°, I 24
- (5 2 3), 2θ = 61.05°, I 19
- (6 1 3), 2θ = 67.95°, I 18
- (6 6 0), 2θ = 88.72°, I 12

Record 3
Diffraction record for HfTe3O8. The X-ray powder pattern is theoretical, not measured: it uses the PBE geometry in Alexandria and CuKα.
Intensities are scaled so that the largest is 100.

Atomic structure:
```
data_HfTe3O8
_symmetry_space_group_name_H-M 'I a -3'
_symmetry_Int_Tables_number 206
_symmetry_space_group_name_Hall '-I 2b 2c 3'
_cell_length_a 11.517
_cell_length_b 11.517
_cell_length_c 11.517
_cell_angle_alpha 90.00
_cell_angle_beta 90.00
_cell_angle_gamma 90.00
loop_
_atom_site_label
_atom_site_type_symbol
_atom_site_fract_x
_atom_site_fract_y
_atom_site_fract_z
_atom_site_occupancy
Hf1 Hf 0.250 0.250 0.250 1
Te1 Te 0.000 0.250 0.051 1
O1 O 0.083 0.083 0.083 1
O2 O 0.110 0.186 0.655 1
```

Principal peaks in the range 15° ≤ 2θ ≤ 90°, sorted by position:
- (2 0 0), 2θ = 15.39°, I 10
- (2 1 1), 2θ = 18.87°, I 27
- (2 2 2), 2θ = 26.82°, I 100
- (3 1 2), 2θ = 29.01°, I 18
- (4 0 0), 2θ = 31.06°, I 35
- (4 1 1), 2θ = 33.00°, I 12
- (4 4 0), 2θ = 44.50°, I 28
- (6 2 2), 2θ = 52.72°, I 26
- (6 0 4), 2θ = 57.72°, I 9
- (6 4 2), 2θ = 60.12°, I 13
- (8 2 0), 2θ = 67.01°, I 11
- (8 2 6), 2θ = 86.10°, I 13

Record 4
Diffraction record for HfTiO4. The X-ray powder pattern is theoretical, not measured: it uses the PBE geometry in Alexandria and CuKα.
Intensities are scaled so that the largest is 100.

Atomic structure:
```
data_HfTiO4
_symmetry_space_group_name_H-M 'P 21 21 2'
_symmetry_Int_Tables_number 18
_cell_length_a 4.734
_cell_length_b 5.120
_cell_length_c 5.681
_cell_angle_alpha 90.00
_cell_angle_beta 90.00
_cell_angle_gamma 90.00
loop_
_symmetry_equiv_pos_as_xyz
'x,y,z'
'-x,-y,z'
'x+1/2,-y+1/2,-z'
'-x+1/2,y+1/2,-z'
loop_
_atom_site_label
_atom_site_type_symbol
_atom_site_fract_x
_atom_site_fract_y
_atom_site_fract_z
_atom_site_occupancy
Hf1 Hf 0.000 0.000 0.082 1
Ti1 Ti 0.000 0.500 0.426 1
O1 O 0.219 0.339 0.144 1
O2 O 0.234 0.826 0.376 1
```

Principal peaks in the range 15° ≤ 2θ ≤ 90°, sorted by position:
- (0 0 1), 2θ = 15.60°, I 35
- (1 0 1), 2θ = 24.48°, I 31
- (1 1 0), 2θ = 25.63°, I 31
- (1 1 1), 2θ = 30.14°, I 100
- (0 2 0), 2θ = 35.06°, I 16
- (0 1 2), 2θ = 36.16°, I 20
- (1 0 3), 2θ = 52.01°, I 15
- (2 2 0), 2θ = 52.66°, I 18
- (2 1 2), 2θ = 53.47°, I 25
- (1 3 1), 2θ = 59.87°, I 15
- (3 1 1), 2θ = 63.86°, I 13
- (1 2 3), 2θ = 64.27°, I 15

Please write out number 3 again, unchanged.
Diffraction record for HfTe3O8. The X-ray powder pattern is theoretical, not measured: it uses the PBE geometry in Alexandria and CuKα.
Intensities are scaled so that the largest is 100.

Atomic structure:
```
data_HfTe3O8
_symmetry_space_group_name_H-M 'I a -3'
_symmetry_Int_Tables_number 206
_symmetry_space_group_name_Hall '-I 2b 2c 3'
_cell_length_a 11.517
_cell_length_b 11.517
_cell_length_c 11.517
_cell_angle_alpha 90.00
_cell_angle_beta 90.00
_cell_angle_gamma 90.00
loop_
_atom_site_label
_atom_site_type_symbol
_atom_site_fract_x
_atom_site_fract_y
_atom_site_fract_z
_atom_site_occupancy
Hf1 Hf 0.250 0.250 0.250 1
Te1 Te 0.000 0.250 0.051 1
O1 O 0.083 0.083 0.083 1
O2 O 0.110 0.186 0.655 1
```

Principal peaks in the range 15° ≤ 2θ ≤ 90°, sorted by position:
- (2 0 0), 2θ = 15.39°, I 10
- (2 1 1), 2θ = 18.87°, I 27
- (2 2 2), 2θ = 26.82°, I 100
- (3 1 2), 2θ = 29.01°, I 18
- (4 0 0), 2θ = 31.06°, I 35
- (4 1 1), 2θ = 33.00°, I 12
- (4 4 0), 2θ = 44.50°, I 28
- (6 2 2), 2θ = 52.72°, I 26
- (6 0 4), 2θ = 57.72°, I 9
- (6 4 2), 2θ = 60.12°, I 13
- (8 2 0), 2θ = 67.01°, I 11
- (8 2 6), 2θ = 86.10°, I 13

Repeat the third record exactly.
Diffraction record for HfTe3O8. The X-ray powder pattern is theoretical, not measured: it uses the PBE geometry in Alexandria and CuKα.
Intensities are scaled so that the largest is 100.

Atomic structure:
```
data_HfTe3O8
_symmetry_space_group_name_H-M 'I a -3'
_symmetry_Int_Tables_number 206
_symmetry_space_group_name_Hall '-I 2b 2c 3'
_cell_length_a 11.517
_cell_length_b 11.517
_cell_length_c 11.517
_cell_angle_alpha 90.00
_cell_angle_beta 90.00
_cell_angle_gamma 90.00
loop_
_atom_site_label
_atom_site_type_symbol
_atom_site_fract_x
_atom_site_fract_y
_atom_site_fract_z
_atom_site_occupancy
Hf1 Hf 0.250 0.250 0.250 1
Te1 Te 0.000 0.250 0.051 1
O1 O 0.083 0.083 0.083 1
O2 O 0.110 0.186 0.655 1
```

Principal peaks in the range 15° ≤ 2θ ≤ 90°, sorted by position:
- (2 0 0), 2θ = 15.39°, I 10
- (2 1 1), 2θ = 18.87°, I 27
- (2 2 2), 2θ = 26.82°, I 100
- (3 1 2), 2θ = 29.01°, I 18
- (4 0 0), 2θ = 31.06°, I 35
- (4 1 1), 2θ = 33.00°, I 12
- (4 4 0), 2θ = 44.50°, I 28
- (6 2 2), 2θ = 52.72°, I 26
- (6 0 4), 2θ = 57.72°, I 9
- (6 4 2), 2θ = 60.12°, I 13
- (8 2 0), 2θ = 67.01°, I 11
- (8 2 6), 2θ = 86.10°, I 13